Theoretical PXRD pattern of LiMgAlMo3O12 for λ = 1.5418 Å (Cu Kα), from DFT lattice parameters and positions (PBE+U).
Intensities are scaled so that the largest is 100.

Largest 10 diffraction maxima, in order of rising 2θ, 5 to 70 degrees two-theta:
2θ/deg, Rel. int., index
20.0, 38, 1 1 -1
21.0, 39, 1 1 2
23.1, 67, 1 -1 1
23.7, 100, 0 0 3
24.6, 41, -1 1 2
26.6, 36, 0 2 1
26.8, 88, 2 0 0
27.2, 37, 1 2 1
27.7, 27, 1 2 0
53.4, 34, 1 4 1

Crystal structure
a = 6.8024 Å, b = 6.8847 Å, c = 11.5277 Å
α = 77.75°, β = 86.20°, γ = 78.10°
Space group P-1 (No. 2)
Asymmetric unit:
Li (0.1714, 0.4393, 0.0861)
Mg (0.2004, 0.8409, 0.4783)
Al (0.1976, 0.2296, 0.8731)
Mo (0.2419, 0.3022, 0.5555)
Mo (0.2501, 0.9063, 0.1443)
Mo (0.3006, 0.7122, 0.8151)
O (0.0964, 0.7337, 0.1149)
O (0.1112, 0.1361, 0.5004)
O (0.1668, 0.5079, 0.8953)
O (0.1815, 0.3113, 0.7096)
O (0.1911, 0.9470, 0.2885)
O (0.1994, 0.1536, 0.0436)
O (0.1998, 0.5496, 0.4629)
O (0.2176, 0.9489, 0.8668)
O (0.2579, 0.7564, 0.6621)
O (0.4402, 0.3652, 0.1628)
O (0.4869, 0.1992, 0.8675)
O (0.4986, 0.1946, 0.5469)